The following is a theoretical powder XRD pattern of LiMg6Zr. It was derived from the GGA-PBE geometry in the Materials Project, using a wavelength of 1.5418 Å.

Main lines, in order of rising 2θ (10° ≤ 2θ ≤ 80°):
index	d [Å]	I_rel
0 0 2	5.533	57
1 0 0	5.076	26
1 1 1	3.737	52
0 2 2	2.758	31
2 0 0	2.538	36
1 0 4	2.435	50
1 2 2	2.424	100
2 2 2	1.868	19
3 2 2	1.442	18
2 2 6	1.353	19

Structural model:
Unit cell a=5.0758 b=6.3569 c=11.1008 alpha=90.00 beta=90.00 gamma=90.00
Sites, in units of the cell vectors:
Li: 0.0000 0.0000 0.0000
Li: 0.0000 0.5000 0.5000
Mg: 0.0000 0.0000 0.4996
Mg: 0.0000 0.2460 0.2483
Mg: 0.0000 0.2540 0.7483
Mg: 0.0000 0.5000 0.9996
Mg: 0.0000 0.7460 0.7483
Mg: 0.0000 0.7540 0.2483
Mg: 0.5000 0.0000 0.6683
Mg: 0.5000 0.2454 0.9152
Mg: 0.5000 0.2546 0.4152
Mg: 0.5000 0.5000 0.1683
Mg: 0.5000 0.7454 0.4152
Mg: 0.5000 0.7546 0.9152
Zr: 0.5000 0.0000 0.1670
Zr: 0.5000 0.5000 0.6670